Record 1
Structure and simulated powder X-ray diffraction pattern of HfTl2Fe2Mo6O24 (a crystal structure in the Materials Project, relaxed with GGA+U; Cu Kα X-rays).
No peak broadening, texture or thermal motion is included.

Structural model:
Lattice parameters (Å, degrees): 8.6711 8.6738 8.6738 100.20 100.43 99.97
Space group P-1 (No. 2)
Inequivalent atoms, fractional coordinates:
Hf (0.0000, 0.0000, 0.0000) [1 per cell]
Tl (0.3394, 0.8376, 0.3391) [2 per cell]
Fe (0.0000, 0.5000, 0.5000) [1 per cell]
Fe (0.5000, 0.5000, 0.0000) [1 per cell]
Mo (0.1486, 0.2159, 0.6958) [2 per cell]
Mo (0.2900, 0.7982, 0.8512) [2 per cell]
Mo (0.3042, 0.3588, 0.2906) [2 per cell]
O (0.0024, 0.6745, 0.3716) [2 per cell]
O (0.0531, 0.0708, 0.7984) [2 per cell]
O (0.1459, 0.6664, 0.6852) [2 per cell]
O (0.1695, 0.1889, 0.1473) [2 per cell]
O (0.1796, 0.8672, 0.0046) [2 per cell]
O (0.1973, 0.4480, 0.4305) [2 per cell]
O (0.2078, 0.1129, 0.5328) [2 per cell]
O (0.3150, 0.3548, 0.8330) [2 per cell]
O (0.3709, 0.5046, 0.1766) [2 per cell]
O (0.3892, 0.9644, 0.7933) [2 per cell]
O (0.4317, 0.6955, 0.9462) [2 per cell]
O (0.4677, 0.2953, 0.3905) [2 per cell]

Peak list (10 most intense, 2θ from 10° to 90°, sorted by position)
d/Å	2θ/deg	I_rel
5.352	16.56	129
5.200	17.05	183
4.095	21.70	326
4.024	22.09	142
3.443	25.88	656
3.327	26.80	1000
2.781	32.18	322
2.774	32.27	124
2.133	42.38	171
1.720	53.26	128

Record 2
Structure and simulated powder X-ray diffraction pattern of HfFeO3 (a crystal structure in the Materials Project, relaxed with GGA+U; Cu Kα X-rays).
No peak broadening, texture or thermal motion is included.

Structural model:
Lattice parameters (Å, degrees): 5.3304 8.7772 5.0379 90.00 90.00 90.00
Space group Pnma (No. 62)
Inequivalent atoms, fractional coordinates:
Hf (0.0704, 0.2500, 0.0445) [4 per cell]
Fe (0.0000, 0.0000, 0.5000) [4 per cell]
O (0.0942, 0.7500, 0.3222) [4 per cell]
O (0.2008, 0.6008, 0.8051) [8 per cell]

Peak list (10 most intense, 2θ from 10° to 90°, sorted by position)
d/Å	2θ/deg	I_rel
4.383	20.26	370
3.661	24.31	186
3.379	26.38	187
2.811	31.83	1000
2.665	33.63	115
2.519	35.64	131
2.204	40.94	117
2.194	41.14	149
1.655	55.54	114
1.646	55.86	147

Record 3
Structure and simulated powder X-ray diffraction pattern of HfFeO3 (a crystal structure in the Materials Project, relaxed with GGA+U; Cu Kα X-rays).
No peak broadening, texture or thermal motion is included.

Structural model:
Lattice parameters (Å, degrees): 5.5115 7.8753 5.4277 90.00 90.00 90.00
Space group Pnma (No. 62)
Inequivalent atoms, fractional coordinates:
Hf (0.0000, 0.0000, 0.0000) [4 per cell]
Fe (0.0371, 0.2500, 0.4909) [4 per cell]
O (0.0781, 0.7500, 0.8818) [4 per cell]
O (0.1746, 0.5652, 0.3298) [8 per cell]

Peak list (10 most intense, 2θ from 10° to 90°, sorted by position)
d/Å	2θ/deg	I_rel
3.938	22.58	155
3.867	23.00	291
2.758	32.46	1000
2.714	33.01	192
1.969	46.10	98
1.934	46.99	171
1.602	57.53	92
1.592	57.91	257
1.575	58.59	190
1.379	67.96	122

Record 4
Structure and simulated powder X-ray diffraction pattern of SrSmHfFeO6 (a crystal structure in the Materials Project, relaxed with GGA+U; Cu Kα X-rays).
No peak broadening, texture or thermal motion is included.

Structural model:
Lattice parameters (Å, degrees): 8.0569 8.0569 8.0569 90.00 90.00 90.00
Space group F-43m (No. 216)
Inequivalent atoms, fractional coordinates:
Sr (0.0000, 0.0000, 0.0000) [4 per cell]
Sm (0.0000, 0.0000, 0.5000) [4 per cell]
Hf (0.2500, 0.2500, 0.7500) [4 per cell]
Fe (0.2500, 0.2500, 0.2500) [4 per cell]
O (0.0034, 0.2500, 0.2500) [24 per cell]

Peak list (10 most intense, 2θ from 10° to 90°, sorted by position)
d/Å	2θ/deg	I_rel
4.652	19.08	190
2.849	31.40	1000
2.429	37.01	117
2.014	45.01	305
1.848	49.30	56
1.645	55.91	398
1.551	59.63	41
1.424	65.54	186
1.274	74.48	172
1.163	83.05	63

Record 5
Structure and simulated powder X-ray diffraction pattern of Ho2FeMoO7 (a crystal structure in the Materials Project, relaxed with GGA+U; Cu Kα X-rays).
No peak broadening, texture or thermal motion is included.

Structural model:
Lattice parameters (Å, degrees): 7.1891 7.1978 7.2202 61.00 61.37 60.47
Space group P-1 (No. 2)
Inequivalent atoms, fractional coordinates:
Ho (0.0000, 0.0000, 0.0000) [1 per cell]
Ho (0.0000, 0.5000, 0.5000) [1 per cell]
Ho (0.5000, 0.0000, 0.5000) [1 per cell]
Ho (0.5000, 0.5000, 0.0000) [1 per cell]
Fe (0.0000, 0.0000, 0.5000) [1 per cell]
Fe (0.5000, 0.5000, 0.5000) [1 per cell]
Mo (0.0000, 0.5000, 0.0000) [1 per cell]
Mo (0.5000, 0.0000, 0.0000) [1 per cell]
O (0.0986, 0.1692, 0.1694) [2 per cell]
O (0.1008, 0.6029, 0.1330) [2 per cell]
O (0.1087, 0.1242, 0.6072) [2 per cell]
O (0.3312, 0.3808, 0.8544) [2 per cell]
O (0.3511, 0.8466, 0.3561) [2 per cell]
O (0.3794, 0.3957, 0.3910) [2 per cell]
O (0.3796, 0.8840, 0.8929) [2 per cell]

Peak list (10 most intense, 2θ from 10° to 90°, sorted by position)
d/Å	2θ/deg	I_rel
5.838	15.18	249
2.996	29.82	497
2.964	30.15	1000
2.919	30.63	494
2.579	34.79	207
2.564	34.99	210
2.549	35.21	201
1.829	49.85	178
1.798	50.78	300
1.555	59.44	214

Record 6
Structure and simulated powder X-ray diffraction pattern of Ho2FeSbO7 (a crystal structure in the Materials Project, relaxed with GGA+U; Cu Kα X-rays).
No peak broadening, texture or thermal motion is included.

Structural model:
Lattice parameters (Å, degrees): 7.2364 7.3463 10.2908 90.00 90.00 90.00
Space group Imma (No. 74)
Inequivalent atoms, fractional coordinates:
Ho (0.0000, 0.0000, 0.0000) [4 per cell]
Ho (0.2500, 0.2500, 0.2500) [4 per cell]
Fe (0.2500, 0.2500, 0.7500) [4 per cell]
Sb (0.0000, 0.0000, 0.5000) [4 per cell]
O (0.0000, 0.2500, 0.1270) [4 per cell]
O (0.0000, 0.2500, 0.4167) [4 per cell]
O (0.0000, 0.2500, 0.8395) [4 per cell]
O (0.2068, 0.0350, 0.6253) [16 per cell]

Peak list (10 most intense, 2θ from 10° to 90°, sorted by position)
d/Å	2θ/deg	I_rel
5.979	14.82	192
2.990	29.89	1000
2.960	30.20	982
2.576	34.83	638
1.837	49.64	164
1.821	50.09	627
1.809	50.45	151
1.561	59.21	286
1.554	59.48	140
1.548	59.72	416

Record 7
Structure and simulated powder X-ray diffraction pattern of Ho2VFeO6 (a crystal structure in the Materials Project, relaxed with GGA+U; Cu Kα X-rays).
No peak broadening, texture or thermal motion is included.

Structural model:
Lattice parameters (Å, degrees): 5.2709 5.6217 9.2201 90.00 124.80 90.00
Space group P2_1/c (No. 14)
Inequivalent atoms, fractional coordinates:
Ho (0.2302, 0.0676, 0.2491) [4 per cell]
V (0.5000, 0.0000, 0.0000) [2 per cell]
Fe (0.0000, 0.0000, 0.5000) [2 per cell]
O (0.1342, 0.1979, 0.9433) [4 per cell]
O (0.2476, 0.6895, 0.9439) [4 per cell]
O (0.3612, 0.0440, 0.7487) [4 per cell]

Peak list (10 most intense, 2θ from 10° to 90°, sorted by position)
d/Å	2θ/deg	I_rel
3.845	23.13	240
3.786	23.50	162
3.428	25.99	236
2.811	31.84	183
2.698	33.21	1000
2.635	34.02	393
1.923	47.28	167
1.863	48.88	147
1.719	53.27	204
1.533	60.37	213